1.
Simulated powder X-ray diffraction pattern of Pm2PrHg for Cu Ka, from a cell relaxed with GGA-PBE.
No peak broadening, texture or thermal motion is included.

Structural model:
```
data_Pm2PrHg
_chemical_formula_sum 'Pm6 Pr3 Hg3'
_space_group_name_H-M_alt 'R 3 m'
_space_group_IT_number 160
_space_group_name_Hall 'R 3 -2"'
_cell_length_a 3.7394
_cell_length_b 3.7394
_cell_length_c 32.5833
_cell_angle_alpha 90.00
_cell_angle_beta 90.00
_cell_angle_gamma 120.00
loop_
_atom_site_label
_atom_site_type_symbol
_atom_site_fract_x
_atom_site_fract_y
_atom_site_fract_z
_atom_site_occupancy
Pm1 Pm 0.0000 0.0000 0.0000 1
Pm2 Pm 0.0000 0.0000 0.1844 1
Pr1 Pr 0.0000 0.0000 0.4254 1
Hg1 Hg 0.0000 0.0000 0.5922 1
```

Largest 6 diffraction maxima, low angle first, 10 to 90 degrees two-theta:
d = 3.176 Å, I = 30; d = 2.900 Å, I = 100; d = 2.715 Å, I = 28; d = 2.658 Å, I = 53; d = 1.870 Å, I = 35; d = 1.540 Å, I = 31

***

2.
Simulated powder X-ray diffraction pattern of PmPrTmHg for Cu Ka, from a cell relaxed with GGA-PBE.
No peak broadening, texture or thermal motion is included.

Structural model:
```
data_PmPrTmHg
_chemical_formula_sum 'Pm1 Pr1 Tm1 Hg1'
_space_group_name_H-M_alt 'P 4 m m'
_space_group_IT_number 99
_cell_length_a 3.686
_cell_length_b 3.686
_cell_length_c 8.906
_cell_angle_alpha 90.00
_cell_angle_beta 90.00
_cell_angle_gamma 90.00
loop_
_space_group_symop_operation_xyz
'x,y,z'
'-y,x,z'
'-x,-y,z'
'y,-x,z'
'-x,y,z'
'y,x,z'
'x,-y,z'
'-y,-x,z'
loop_
_atom_site_label
_atom_site_type_symbol
_atom_site_fract_x
_atom_site_fract_y
_atom_site_fract_z
_atom_site_occupancy
Pm1 Pm 0.000 0.000 0.000 1
Pr1 Pr 0.500 0.500 0.290 1
Tm1 Tm 0.000 0.000 0.569 1
Hg1 Hg 0.500 0.500 0.765 1
```

Largest 6 diffraction maxima, low angle first, 10 to 90 degrees two-theta:
d = 2.839 Å, I = 100; d = 2.606 Å, I = 44; d = 2.312 Å, I = 10; d = 1.843 Å, I = 16; d = 1.693 Å, I = 16; d = 1.546 Å, I = 33